Pr2Zn5Ag12: theoretical powder X-ray diffraction pattern (λ = 1.5418 Å (Cu Kα)), based on DFT lattice parameters and positions (PBE).
Kinematic intensities with the Lorentz-polarization factor, no thermal factor.

Structure:
```
Pr2Zn5Ag12
1.0
4.748 2.741 4.673
-4.748 2.741 4.673
0.000 -5.483 4.673
Pr Zn Ag
2 5 12
direct
0.153 0.153 0.153 Pr
0.847 0.847 0.847 Pr
0.000 0.500 0.500 Zn
0.401 0.401 0.401 Zn
0.500 0.000 0.500 Zn
0.500 0.500 0.000 Zn
0.599 0.599 0.599 Zn
0.157 0.157 0.643 Ag
0.157 0.643 0.157 Ag
0.199 0.500 0.801 Ag
0.199 0.801 0.500 Ag
0.357 0.843 0.843 Ag
0.500 0.199 0.801 Ag
0.500 0.801 0.199 Ag
0.643 0.157 0.157 Ag
0.801 0.199 0.500 Ag
0.801 0.500 0.199 Ag
0.843 0.357 0.843 Ag
0.843 0.843 0.357 Ag
```

Principal peaks in the range 2θ = 15–90°, by angle:
- 2θ = 32.7°, I = 32
- 2θ = 33.6°, I = 34
- 2θ = 37.9°, I = 42
- 2θ = 38.1°, I = 100
- 2θ = 38.5°, I = 33
- 2θ = 42.7°, I = 48
- 2θ = 61.9°, I = 17
- 2θ = 68.4°, I = 19
- 2θ = 69.4°, I = 16
- 2θ = 81.4°, I = 14